(1)
The following is a computed powder X-ray diffraction pattern of MgC4O6. It was derived from a crystal structure in Alexandria, relaxed with PBE, using Cu Kα (λ = 1.5418 Å).
No peak broadening, texture or thermal motion is included.

Atomic structure:
Cell: 8.2647 8.2647 6.9509 Å, 113.92 113.92 47.82°
Element x y z (fractional)
Mg (0.0000, 0.5000, 0.0000)
Mg (0.5000, 0.0000, 0.5000)
C (0.0127, 0.7278, 0.7765)
C (0.0984, 0.8240, 0.7568)
C (0.1760, 0.9016, 0.7432)
C (0.2722, 0.9873, 0.7235)
C (0.7278, 0.0127, 0.2765)
C (0.8240, 0.0984, 0.2568)
C (0.9016, 0.1760, 0.2432)
C (0.9873, 0.2722, 0.2235)
O (0.1240, 0.6048, 0.9122)
O (0.1738, 0.2246, 0.3471)
O (0.1944, 0.4702, 0.3170)
O (0.2246, 0.1738, 0.8471)
O (0.3952, 0.8760, 0.5878)
O (0.4702, 0.1944, 0.8170)
O (0.5298, 0.8056, 0.1830)
O (0.6048, 0.1240, 0.4122)
O (0.7754, 0.8262, 0.1529)
O (0.8056, 0.5298, 0.6830)
O (0.8262, 0.7754, 0.6529)
O (0.8760, 0.3952, 0.0878)

Principal peaks in the range 5° ≤ 2θ ≤ 70°, by angle:
- 13.07 deg, I 100
- 14.75 deg, I 31
- 22.50 deg, I 85
- 29.60 deg, I 33
- 30.30 deg, I 52
- 37.42 deg, I 27
- 42.52 deg, I 11
- 44.57 deg, I 17
- 45.92 deg, I 17
- 48.49 deg, I 10

***

(2)
The following is a computed powder X-ray diffraction pattern of Pu3As2Rh6. It was derived from a crystal structure in Alexandria, relaxed with PBE, using Cu Kα (λ = 1.5418 Å).
No peak broadening, texture or thermal motion is included.

Atomic structure:
Cell: 7.9707 7.9707 7.9707 Å, 109.47 109.47 109.47°
Element x y z (fractional)
Pu (0.0000, 0.2668, 0.2668)
Pu (0.0000, 0.7332, 0.7332)
Pu (0.2668, 0.0000, 0.2668)
Pu (0.2668, 0.2668, 0.0000)
Pu (0.7332, 0.0000, 0.7332)
Pu (0.7332, 0.7332, 0.0000)
As (0.0000, 0.0000, 0.5000)
As (0.0000, 0.5000, 0.0000)
As (0.5000, 0.0000, 0.0000)
As (0.5000, 0.5000, 0.5000)
Rh (0.0000, 0.3505, 0.6495)
Rh (0.0000, 0.6495, 0.3505)
Rh (0.2990, 0.6495, 0.6495)
Rh (0.3505, 0.0000, 0.6495)
Rh (0.3505, 0.3505, 0.7010)
Rh (0.3505, 0.6495, 0.0000)
Rh (0.3505, 0.7010, 0.3505)
Rh (0.6495, 0.0000, 0.3505)
Rh (0.6495, 0.2990, 0.6495)
Rh (0.6495, 0.3505, 0.0000)
Rh (0.6495, 0.6495, 0.2990)
Rh (0.7010, 0.3505, 0.3505)

Principal peaks in the range 5° ≤ 2θ ≤ 70°, by angle:
- 30.72 deg, I 19
- 33.73 deg, I 55
- 36.53 deg, I 45
- 39.15 deg, I 22
- 41.63 deg, I 100
- 54.62 deg, I 16
- 56.57 deg, I 12
- 58.47 deg, I 12
- 62.17 deg, I 17
- 67.51 deg, I 29

***

(3)
The following is a computed powder X-ray diffraction pattern of Pr2Al3CdAg4. It was derived from a crystal structure in Alexandria, relaxed with PBE, using Cu Kα (λ = 1.5418 Å).
No peak broadening, texture or thermal motion is included.

Atomic structure:
Cell: 4.4489 4.4489 11.0945 Å, 90.00 90.00 90.00°
Element x y z (fractional)
Pr (0.0000, 0.5000, 0.2410)
Pr (0.5000, 0.0000, 0.7590)
Al (0.0000, 0.5000, 0.8731)
Al (0.5000, 0.0000, 0.1269)
Al (0.5000, 0.5000, 0.5000)
Cd (0.0000, 0.0000, 0.5000)
Ag (0.0000, 0.0000, 0.0000)
Ag (0.0000, 0.5000, 0.6452)
Ag (0.5000, 0.0000, 0.3548)
Ag (0.5000, 0.5000, 0.0000)

Principal peaks in the range 5° ≤ 2θ ≤ 70°, by angle:
- 25.67 deg, I 17
- 31.46 deg, I 38
- 32.73 deg, I 100
- 40.55 deg, I 48
- 43.50 deg, I 10
- 45.69 deg, I 23
- 52.21 deg, I 18
- 58.70 deg, I 16
- 62.72 deg, I 17
- 68.85 deg, I 22